# 1
This entry pairs a crystal structure of NaNi2H3S2O10 with its theoretical powder X-ray diffraction pattern. Radiation: λ = 1.5418 Å (Cu Kα). Structure: a structure optimized by DFT (GGA+U).
No peak broadening, texture or thermal motion is included.

```
NaNi2H3S2O10
1.0
4.353 -3.151 0.000
4.353 3.151 0.000
-3.225 0.000 6.654
Na Ni H S O
1 2 3 2 10
Direct
0.000 0.000 0.000
0.499 0.999 0.500
0.999 0.499 0.500
0.196 0.196 0.731
0.803 0.803 0.268
0.996 0.996 0.498
0.405 0.405 0.205
0.594 0.594 0.793
0.153 0.153 0.583
0.277 0.277 0.996
0.291 0.681 0.747
0.308 0.308 0.336
0.318 0.708 0.252
0.681 0.291 0.747
0.691 0.691 0.663
0.708 0.318 0.252
0.722 0.722 0.003
0.845 0.845 0.416
```

Peak list (12 most intense, 2θ from 5° to 70°, most intense first)
- 6.654 Å, rel. 100
- 2.540 Å, rel. 76
- 3.360 Å, rel. 75
- 2.872 Å, rel. 67
- 2.848 Å, rel. 59
- 3.189 Å, rel. 47
- 2.298 Å, rel. 39
- 1.658 Å, rel. 32
- 1.663 Å, rel. 28
- 4.910 Å, rel. 28
- 2.120 Å, rel. 25
- 3.917 Å, rel. 19

# 2
This entry pairs a crystal structure of Li8FeO5F with its theoretical powder X-ray diffraction pattern. Radiation: λ = 1.5418 Å (Cu Kα). Structure: a structure optimized by DFT (GGA+U).
No peak broadening, texture or thermal motion is included.

```
Li8FeO5F
1.0
5.623 0.000 0.000
-2.811 4.870 0.000
0.000 0.000 10.978
Li Fe O F
16 2 10 2
Direct
0.017 0.623 0.000
0.028 0.312 0.154
0.284 0.972 0.154
0.312 0.284 0.654
0.333 0.667 0.295
0.333 0.667 0.805
0.377 0.394 0.000
0.394 0.017 0.500
0.606 0.983 0.000
0.623 0.606 0.500
0.667 0.333 0.305
0.667 0.333 0.795
0.688 0.716 0.154
0.716 0.028 0.654
0.972 0.688 0.654
0.983 0.377 0.500
0.000 0.000 0.372
0.000 0.000 0.872
0.000 0.000 0.053
0.000 0.000 0.553
0.002 0.677 0.827
0.323 0.324 0.827
0.324 0.002 0.327
0.333 0.667 0.092
0.667 0.333 0.592
0.676 0.998 0.827
0.677 0.676 0.327
0.998 0.323 0.327
0.333 0.667 0.585
0.667 0.333 0.085
```

Peak list (12 most intense, 2θ from 5° to 70°, most intense first)
- 3.643 Å, rel. 100
- 4.870 Å, rel. 77
- 2.811 Å, rel. 46
- 1.623 Å, rel. 37
- 2.724 Å, rel. 36
- 2.744 Å, rel. 35
- 2.226 Å, rel. 29
- 5.489 Å, rel. 28
- 1.964 Å, rel. 25
- 1.745 Å, rel. 23
- 2.391 Å, rel. 21
- 1.713 Å, rel. 17